(1)
For HoGa2CuPt, the GGA-PBE geometry in OQMD gives the computed XRD peak list in this record (Cu Kα, 1.54184 Å).

Largest 12 diffraction maxima, in order of rising 2θ, 2θ from 15° to 90°:
- 2θ 27.4, rel. 23
- 2θ 30.8, rel. 46
- 2θ 33.3, rel. 81
- 2θ 35.2, rel. 100
- 2θ 44.1, rel. 70
- 2θ 46.2, rel. 19
- 2θ 48.0, rel. 55
- 2θ 56.4, rel. 36
- 2θ 64.2, rel. 23
- 2θ 67.2, rel. 40
- 2θ 75.4, rel. 21
- 2θ 87.0, rel. 14

Atomic structure:
```
data_HoGa2CuPt
_chemical_formula_sum 'Ho2 Ga4 Cu2 Pt2'
_symmetry_space_group_name_H-M 'P 1'
_symmetry_Int_Tables_number 1
_cell_length_a 4.1030
_cell_length_b 4.1030
_cell_length_c 10.6945
_cell_angle_alpha 90.00
_cell_angle_beta 90.00
_cell_angle_gamma 90.00
loop_
_symmetry_equiv_pos_as_xyz
'x,y,z'
loop_
_atom_site_label
_atom_site_type_symbol
_atom_site_fract_x
_atom_site_fract_y
_atom_site_fract_z
Ho1 Ho 0.2500 0.2500 0.2456
Ho2 Ho 0.7500 0.7500 0.7544
Ga1 Ga 0.2500 0.2500 0.8756
Ga2 Ga 0.2500 0.7500 0.5000
Ga3 Ga 0.7500 0.2500 0.5000
Ga4 Ga 0.7500 0.7500 0.1244
Cu1 Cu 0.2500 0.7500 0.0000
Cu2 Cu 0.7500 0.2500 0.0000
Pt1 Pt 0.2500 0.2500 0.6443
Pt2 Pt 0.7500 0.7500 0.3557
```



(2)
For In3GaCu2, the GGA-PBE geometry in OQMD gives the computed XRD peak list in this record (Cu Kα, 1.54184 Å).

Largest 12 diffraction maxima, in order of rising 2θ, 2θ from 15° to 90°:
- 2θ 24.6, rel. 17
- 2θ 28.4, rel. 12
- 2θ 28.5, rel. 23
- 2θ 40.7, rel. 100
- 2θ 48.2, rel. 5
- 2θ 50.5, rel. 9
- 2θ 58.8, rel. 5
- 2θ 59.1, rel. 11
- 2θ 66.9, rel. 8
- 2θ 74.0, rel. 10
- 2θ 74.2, rel. 21
- 2θ 88.2, rel. 7

Atomic structure:
```
data_In3GaCu2
_chemical_formula_sum 'In3 Ga1 Cu2'
_symmetry_space_group_name_H-M 'P 1'
_symmetry_Int_Tables_number 1
_cell_length_a 4.4229
_cell_length_b 4.4229
_cell_length_c 6.2813
_cell_angle_alpha 90.00
_cell_angle_beta 90.00
_cell_angle_gamma 90.00
loop_
_symmetry_equiv_pos_as_xyz
'x,y,z'
loop_
_atom_site_label
_atom_site_type_symbol
_atom_site_fract_x
_atom_site_fract_y
_atom_site_fract_z
In1 In 0.0000 0.0000 0.0000
In2 In 0.0000 0.0000 0.5000
In3 In 0.5000 0.5000 0.0000
Ga1 Ga 0.5000 0.5000 0.5000
Cu1 Cu 0.0000 0.5000 0.2610
Cu2 Cu 0.5000 0.0000 0.7390
```



(3)
For Li4InGaCu2, the GGA-PBE geometry in OQMD gives the computed XRD peak list in this record (Cu Kα, 1.54184 Å).

Largest 12 diffraction maxima, in order of rising 2θ, 2θ from 15° to 90°:
- 2θ 25.2, rel. 100
- 2θ 41.5, rel. 64
- 2θ 42.0, rel. 32
- 2θ 48.8, rel. 15
- 2θ 49.6, rel. 31
- 2θ 59.5, rel. 5
- 2θ 60.9, rel. 10
- 2θ 66.3, rel. 12
- 2θ 67.0, rel. 6
- 2θ 75.5, rel. 9
- 2θ 76.4, rel. 19
- 2θ 82.3, rel. 7

Atomic structure:
```
data_Li4InGaCu2
_chemical_formula_sum 'Li4 In1 Ga1 Cu2'
_symmetry_space_group_name_H-M 'P 1'
_symmetry_Int_Tables_number 1
_cell_length_a 4.3020
_cell_length_b 4.3020
_cell_length_c 6.2132
_cell_angle_alpha 90.00
_cell_angle_beta 90.00
_cell_angle_gamma 90.00
loop_
_symmetry_equiv_pos_as_xyz
'x,y,z'
loop_
_atom_site_label
_atom_site_type_symbol
_atom_site_fract_x
_atom_site_fract_y
_atom_site_fract_z
Li1 Li 0.0000 0.0000 0.0000
Li2 Li 0.0000 0.5000 0.7298
Li3 Li 0.5000 0.0000 0.2702
Li4 Li 0.5000 0.5000 0.5000
In1 In 0.5000 0.5000 0.0000
Ga1 Ga 0.0000 0.0000 0.5000
Cu1 Cu 0.0000 0.5000 0.2711
Cu2 Cu 0.5000 0.0000 0.7289
```



(4)
For LaNdGa4Cu2, the GGA-PBE geometry in OQMD gives the computed XRD peak list in this record (Cu Kα, 1.54184 Å).

Largest 12 diffraction maxima, in order of rising 2θ, 2θ from 15° to 90°:
- 2θ 25.7, rel. 14
- 2θ 29.2, rel. 28
- 2θ 30.2, rel. 24
- 2θ 33.5, rel. 100
- 2θ 37.1, rel. 18
- 2θ 41.4, rel. 39
- 2θ 42.3, rel. 29
- 2θ 42.8, rel. 28
- 2θ 52.2, rel. 11
- 2θ 61.1, rel. 24
- 2θ 61.8, rel. 19
- 2θ 65.7, rel. 11

Atomic structure:
```
data_LaNdGa4Cu2
_chemical_formula_sum 'La2 Nd2 Ga8 Cu4'
_symmetry_space_group_name_H-M 'P 1'
_symmetry_Int_Tables_number 1
_cell_length_a 4.2254
_cell_length_b 4.2703
_cell_length_c 17.7350
_cell_angle_alpha 90.00
_cell_angle_beta 90.00
_cell_angle_gamma 90.00
loop_
_symmetry_equiv_pos_as_xyz
'x,y,z'
loop_
_atom_site_label
_atom_site_type_symbol
_atom_site_fract_x
_atom_site_fract_y
_atom_site_fract_z
La1 La 0.0000 0.0000 0.0000
La2 La 0.0000 0.5000 0.5000
Nd1 Nd 0.0000 0.0000 0.7154
Nd2 Nd 0.0000 0.5000 0.2154
Ga1 Ga 0.0000 0.0000 0.3567
Ga2 Ga 0.0000 0.5000 0.8567
Ga3 Ga 0.5000 0.0000 0.1459
Ga4 Ga 0.5000 0.0000 0.5721
Ga5 Ga 0.5000 0.0000 0.8565
Ga6 Ga 0.5000 0.5000 0.0721
Ga7 Ga 0.5000 0.5000 0.3565
Ga8 Ga 0.5000 0.5000 0.6459
Cu1 Cu 0.5000 0.0000 0.2813
Cu2 Cu 0.5000 0.0000 0.4338
Cu3 Cu 0.5000 0.5000 0.7813
Cu4 Cu 0.5000 0.5000 0.9338
```



(5)
For LaGa2Cu2Pd, the GGA-PBE geometry in OQMD gives the computed XRD peak list in this record (Cu Kα, 1.54184 Å).

Largest 12 diffraction maxima, in order of rising 2θ, 2θ from 15° to 90°:
- 2θ 29.3, rel. 47
- 2θ 32.1, rel. 17
- 2θ 33.7, rel. 16
- 2θ 36.5, rel. 24
- 2θ 38.5, rel. 31
- 2θ 39.3, rel. 100
- 2θ 40.7, rel. 29
- 2θ 44.8, rel. 17
- 2θ 45.2, rel. 31
- 2θ 64.0, rel. 23
- 2θ 67.0, rel. 18
- 2θ 84.6, rel. 18

Atomic structure:
```
data_LaGa2Cu2Pd
_chemical_formula_sum 'La2 Ga4 Cu4 Pd2'
_symmetry_space_group_name_H-M 'P 1'
_symmetry_Int_Tables_number 1
_cell_length_a 5.3234
_cell_length_b 9.8367
_cell_length_c 4.0118
_cell_angle_alpha 90.00
_cell_angle_beta 90.00
_cell_angle_gamma 90.00
loop_
_symmetry_equiv_pos_as_xyz
'x,y,z'
loop_
_atom_site_label
_atom_site_type_symbol
_atom_site_fract_x
_atom_site_fract_y
_atom_site_fract_z
La1 La 0.0000 0.0000 0.0000
La2 La 0.5000 0.5000 0.0000
Ga1 Ga 0.0000 0.3241 0.0000
Ga2 Ga 0.0000 0.6759 0.0000
Ga3 Ga 0.5000 0.1759 0.0000
Ga4 Ga 0.5000 0.8241 0.0000
Cu1 Cu 0.2500 0.2500 0.5000
Cu2 Cu 0.2500 0.7500 0.5000
Cu3 Cu 0.7500 0.2500 0.5000
Cu4 Cu 0.7500 0.7500 0.5000
Pd1 Pd 0.0000 0.5000 0.5000
Pd2 Pd 0.5000 0.0000 0.5000
```



(6)
For Li4Ga3Cu, the GGA-PBE geometry in OQMD gives the computed XRD peak list in this record (Cu Kα, 1.54184 Å).

Largest 12 diffraction maxima, in order of rising 2θ, 2θ from 15° to 90°:
- 2θ 25.4, rel. 100
- 2θ 41.9, rel. 68
- 2θ 42.2, rel. 34
- 2θ 49.4, rel. 15
- 2θ 49.9, rel. 31
- 2θ 60.4, rel. 5
- 2θ 61.3, rel. 11
- 2θ 67.0, rel. 12
- 2θ 67.4, rel. 6
- 2θ 76.4, rel. 10
- 2θ 77.0, rel. 21
- 2θ 82.8, rel. 7

Atomic structure:
```
data_Li4Ga3Cu
_chemical_formula_sum 'Li4 Ga3 Cu1'
_symmetry_space_group_name_H-M 'P 1'
_symmetry_Int_Tables_number 1
_cell_length_a 4.2796
_cell_length_b 4.2796
_cell_length_c 6.1346
_cell_angle_alpha 90.00
_cell_angle_beta 90.00
_cell_angle_gamma 90.00
loop_
_symmetry_equiv_pos_as_xyz
'x,y,z'
loop_
_atom_site_label
_atom_site_type_symbol
_atom_site_fract_x
_atom_site_fract_y
_atom_site_fract_z
Li1 Li 0.0000 0.0000 0.0000
Li2 Li 0.0000 0.5000 0.7445
Li3 Li 0.5000 0.0000 0.2555
Li4 Li 0.5000 0.5000 0.5000
Ga1 Ga 0.0000 0.5000 0.2649
Ga2 Ga 0.5000 0.0000 0.7351
Ga3 Ga 0.5000 0.5000 0.0000
Cu1 Cu 0.0000 0.0000 0.5000
```



(7)
For MgGaCu2, the GGA-PBE geometry in OQMD gives the computed XRD peak list in this record (Cu Kα, 1.54184 Å).

Largest 12 diffraction maxima, in order of rising 2θ, 2θ from 15° to 90°:
- 2θ 25.2, rel. 3
- 2θ 29.2, rel. 4
- 2θ 32.7, rel. 2
- 2θ 41.8, rel. 100
- 2θ 44.4, rel. 3
- 2θ 49.4, rel. 1
- 2θ 51.8, rel. 1
- 2θ 54.0, rel. 4
- 2θ 60.5, rel. 15
- 2θ 62.6, rel. 1
- 2θ 76.2, rel. 29
- 2θ 85.5, rel. 2

Atomic structure:
```
data_MgGaCu2
_chemical_formula_sum 'Mg4 Ga4 Cu8'
_symmetry_space_group_name_H-M 'P 1'
_symmetry_Int_Tables_number 1
_cell_length_a 6.1182
_cell_length_b 6.1182
_cell_length_c 6.1182
_cell_angle_alpha 90.00
_cell_angle_beta 90.00
_cell_angle_gamma 90.00
loop_
_symmetry_equiv_pos_as_xyz
'x,y,z'
loop_
_atom_site_label
_atom_site_type_symbol
_atom_site_fract_x
_atom_site_fract_y
_atom_site_fract_z
Mg1 Mg 0.0000 0.0000 0.0000
Mg2 Mg 0.0000 0.0000 0.5000
Mg3 Mg 0.0000 0.5000 0.0000
Mg4 Mg 0.5000 0.0000 0.0000
Ga1 Ga 0.0000 0.5000 0.5000
Ga2 Ga 0.5000 0.0000 0.5000
Ga3 Ga 0.5000 0.5000 0.0000
Ga4 Ga 0.5000 0.5000 0.5000
Cu1 Cu 0.2591 0.2591 0.2591
Cu2 Cu 0.2591 0.2591 0.7409
Cu3 Cu 0.2591 0.7409 0.2591
Cu4 Cu 0.2591 0.7409 0.7409
Cu5 Cu 0.7409 0.2591 0.2591
Cu6 Cu 0.7409 0.2591 0.7409
Cu7 Cu 0.7409 0.7409 0.2591
Cu8 Cu 0.7409 0.7409 0.7409
```



(8)
For Sc4GaCuN2, the GGA-PBE geometry in OQMD gives the computed XRD peak list in this record (Cu Kα, 1.54184 Å).

Largest 12 diffraction maxima, in order of rising 2θ, 2θ from 15° to 90°:
- 2θ 32.4, rel. 18
- 2θ 33.0, rel. 3
- 2θ 34.9, rel. 7
- 2θ 37.9, rel. 100
- 2θ 38.9, rel. 16
- 2θ 46.3, rel. 5
- 2θ 51.5, rel. 16
- 2θ 57.7, rel. 21
- 2θ 69.8, rel. 13
- 2θ 71.1, rel. 14
- 2θ 71.8, rel. 15
- 2θ 81.0, rel. 4

Atomic structure:
```
data_Sc4GaCuN2
_chemical_formula_sum 'Sc4 Ga1 Cu1 N2'
_symmetry_space_group_name_H-M 'P 1'
_symmetry_Int_Tables_number 1
_cell_length_a 3.1947
_cell_length_b 3.1947
_cell_length_c 13.8890
_cell_angle_alpha 90.00
_cell_angle_beta 90.00
_cell_angle_gamma 120.00
loop_
_symmetry_equiv_pos_as_xyz
'x,y,z'
loop_
_atom_site_label
_atom_site_type_symbol
_atom_site_fract_x
_atom_site_fract_y
_atom_site_fract_z
Sc1 Sc 0.0000 0.0000 0.1532
Sc2 Sc 0.0000 0.0000 0.8468
Sc3 Sc 0.6667 0.3333 0.3330
Sc4 Sc 0.6667 0.3333 0.6670
Ga1 Ga 0.0000 0.0000 0.5000
Cu1 Cu 0.6667 0.3333 0.0000
N1 N 0.3333 0.6667 0.2476
N2 N 0.3333 0.6667 0.7524
```



(9)
For Sr8Ga4Cu3N5, the GGA-PBE geometry in OQMD gives the computed XRD peak list in this record (Cu Kα, 1.54184 Å).

Largest 12 diffraction maxima, in order of rising 2θ, 2θ from 15° to 90°:
- 2θ 32.3, rel. 89
- 2θ 33.1, rel. 80
- 2θ 33.9, rel. 100
- 2θ 45.1, rel. 15
- 2θ 45.6, rel. 10
- 2θ 47.6, rel. 21
- 2θ 49.7, rel. 13
- 2θ 57.6, rel. 23
- 2θ 59.2, rel. 30
- 2θ 60.6, rel. 20
- 2θ 67.7, rel. 11
- 2θ 71.3, rel. 9

Atomic structure:
```
data_Sr8Ga4Cu3N5
_chemical_formula_sum 'Sr8 Ga4 Cu3 N5'
_symmetry_space_group_name_H-M 'P 1'
_symmetry_Int_Tables_number 1
_cell_length_a 11.1367
_cell_length_b 11.1367
_cell_length_c 11.1367
_cell_angle_alpha 160.26
_cell_angle_beta 114.45
_cell_angle_gamma 69.20
loop_
_symmetry_equiv_pos_as_xyz
'x,y,z'
loop_
_atom_site_label
_atom_site_type_symbol
_atom_site_fract_x
_atom_site_fract_y
_atom_site_fract_z
Sr1 Sr 0.0649 0.2078 0.8571
Sr2 Sr 0.2410 0.4042 0.8368
Sr3 Sr 0.3507 0.2078 0.1429
Sr4 Sr 0.4325 0.5958 0.8368
Sr5 Sr 0.5675 0.4042 0.1632
Sr6 Sr 0.6493 0.7922 0.8571
Sr7 Sr 0.7590 0.5958 0.1632
Sr8 Sr 0.9351 0.7922 0.1429
Ga1 Ga 0.0770 0.5770 0.5000
Ga2 Ga 0.1216 0.0000 0.1216
Ga3 Ga 0.8784 0.0000 0.8784
Ga4 Ga 0.9230 0.4230 0.5000
Cu1 Cu 0.3119 0.8119 0.5000
Cu2 Cu 0.5000 0.0000 0.5000
Cu3 Cu 0.6881 0.1881 0.5000
N1 N 0.1529 0.8077 0.3452
N2 N 0.4626 0.8077 0.6548
N3 N 0.5000 0.5000 0.0000
N4 N 0.5374 0.1923 0.3452
N5 N 0.8471 0.1923 0.6548
```



(10)
For Zr4GaCuN2, the GGA-PBE geometry in OQMD gives the computed XRD peak list in this record (Cu Kα, 1.54184 Å).

Largest 12 diffraction maxima, in order of rising 2θ, 2θ from 15° to 90°:
- 2θ 31.6, rel. 22
- 2θ 37.3, rel. 100
- 2θ 39.2, rel. 16
- 2θ 41.3, rel. 3
- 2θ 51.2, rel. 14
- 2θ 56.2, rel. 22
- 2θ 57.0, rel. 3
- 2θ 65.9, rel. 3
- 2θ 69.4, rel. 15
- 2θ 69.8, rel. 12
- 2θ 70.7, rel. 16
- 2θ 79.5, rel. 4

Atomic structure:
```
data_Zr4GaCuN2
_chemical_formula_sum 'Zr4 Ga1 Cu1 N2'
_symmetry_space_group_name_H-M 'P 1'
_symmetry_Int_Tables_number 1
_cell_length_a 3.2714
_cell_length_b 3.2714
_cell_length_c 13.7770
_cell_angle_alpha 90.00
_cell_angle_beta 90.00
_cell_angle_gamma 120.00
loop_
_symmetry_equiv_pos_as_xyz
'x,y,z'
loop_
_atom_site_label
_atom_site_type_symbol
_atom_site_fract_x
_atom_site_fract_y
_atom_site_fract_z
Zr1 Zr 0.0000 0.0000 0.1533
Zr2 Zr 0.0000 0.0000 0.8467
Zr3 Zr 0.3333 0.6667 0.3382
Zr4 Zr 0.3333 0.6667 0.6618
Ga1 Ga 0.0000 0.0000 0.5000
Cu1 Cu 0.3333 0.6667 0.0000
N1 N 0.6667 0.3333 0.2460
N2 N 0.6667 0.3333 0.7540
```



(11)
For Na4Ga2CuNi, the GGA-PBE geometry in OQMD gives the computed XRD peak list in this record (Cu Kα, 1.54184 Å).

Largest 10 diffraction maxima, in order of rising 2θ, 2θ from 15° to 90°:
- 2θ 23.2, rel. 29
- 2θ 33.1, rel. 1
- 2θ 38.4, rel. 100
- 2θ 45.4, rel. 14
- 2θ 55.4, rel. 16
- 2θ 60.9, rel. 6
- 2θ 69.5, rel. 30
- 2θ 74.4, rel. 4
- 2θ 82.3, rel. 9
- 2θ 87.0, rel. 4

Atomic structure:
```
data_Na4Ga2CuNi
_chemical_formula_sum 'Na4 Ga2 Cu1 Ni1'
_symmetry_space_group_name_H-M 'P 1'
_symmetry_Int_Tables_number 1
_cell_length_a 4.6853
_cell_length_b 4.6853
_cell_length_c 6.6343
_cell_angle_alpha 90.00
_cell_angle_beta 90.00
_cell_angle_gamma 90.00
loop_
_symmetry_equiv_pos_as_xyz
'x,y,z'
loop_
_atom_site_label
_atom_site_type_symbol
_atom_site_fract_x
_atom_site_fract_y
_atom_site_fract_z
Na1 Na 0.0000 0.0000 0.0000
Na2 Na 0.0000 0.5000 0.7500
Na3 Na 0.5000 0.0000 0.2500
Na4 Na 0.5000 0.5000 0.5000
Ga1 Ga 0.0000 0.5000 0.2354
Ga2 Ga 0.5000 0.0000 0.7646
Cu1 Cu 0.0000 0.0000 0.5000
Ni1 Ni 0.5000 0.5000 0.0000
```



(12)
For Na4Ga2CuPd, the GGA-PBE geometry in OQMD gives the computed XRD peak list in this record (Cu Kα, 1.54184 Å).

Largest 12 diffraction maxima, in order of rising 2θ, 2θ from 15° to 90°:
- 2θ 18.7, rel. 2
- 2θ 23.0, rel. 36
- 2θ 29.8, rel. 1
- 2θ 32.7, rel. 1
- 2θ 38.0, rel. 100
- 2θ 44.9, rel. 18
- 2θ 54.8, rel. 16
- 2θ 60.2, rel. 8
- 2θ 68.6, rel. 32
- 2θ 73.4, rel. 6
- 2θ 81.2, rel. 10
- 2θ 85.8, rel. 6

Atomic structure:
```
data_Na4Ga2CuPd
_chemical_formula_sum 'Na4 Ga2 Cu1 Pd1'
_symmetry_space_group_name_H-M 'P 1'
_symmetry_Int_Tables_number 1
_cell_length_a 4.7366
_cell_length_b 4.7366
_cell_length_c 6.7049
_cell_angle_alpha 90.00
_cell_angle_beta 90.00
_cell_angle_gamma 90.00
loop_
_symmetry_equiv_pos_as_xyz
'x,y,z'
loop_
_atom_site_label
_atom_site_type_symbol
_atom_site_fract_x
_atom_site_fract_y
_atom_site_fract_z
Na1 Na 0.0000 0.0000 0.0000
Na2 Na 0.0000 0.5000 0.7467
Na3 Na 0.5000 0.0000 0.2533
Na4 Na 0.5000 0.5000 0.5000
Ga1 Ga 0.0000 0.5000 0.2444
Ga2 Ga 0.5000 0.0000 0.7556
Cu1 Cu 0.0000 0.0000 0.5000
Pd1 Pd 0.5000 0.5000 0.0000
```